For La7PmPr4, a GGA-PBE-relaxed structure gives the calculated XRD peak list in this record (Cu Kα X-rays).
Lines closer than 0.1° are merged.

Structural model:
Cell: 6.447 7.430 9.835 Å, 78.94 71.07 89.90°
Space group P-1 (No. 2)
Unique sites:
La: 0.000 0.000 0.000
La: 0.167 0.417 0.333
La: 0.333 0.832 0.668
La: 0.499 0.251 0.001
Pm: 0.000 0.500 0.000
Pr: 0.167 0.917 0.333
Pr: 0.334 0.333 0.667

The 12 most intense peaks (2θ from 10° to 80°), by angle:
(2 0 2), 29.4 deg, I 100
(1 2 3), 34.0 deg, I 34
(1 -2 2), 34.2 deg, I 17
(3 2 2), 48.9 deg, I 12
(2 0 5), 49.0 deg, I 24
(4 0 1), 58.1 deg, I 15
(3 2 5), 58.2 deg, I 15
(3 -2 4), 58.3 deg, I 14
(4 0 4), 61.0 deg, I 13
(5 2 4), 79.3 deg, I 6
(1 6 1), 79.5 deg, I 9
(4 0 7), 79.5 deg, I 3

***

For La3Pm2Pr6, a GGA-PBE-relaxed structure gives the calculated XRD peak list in this record (Cu Kα X-rays).
Lines closer than 0.1° are merged.

Structural model:
Cell: 6.419 6.428 9.846 Å, 83.70 89.83 80.34°
Space group P-1 (No. 2)
Unique sites:
La: 0.000 0.000 0.000
La: 0.182 0.910 0.363
Pm: 0.454 0.272 0.910
Pr: 0.092 0.455 0.181
Pr: 0.272 0.364 0.546
Pr: 0.363 0.817 0.729

The 12 most intense peaks (2θ from 10° to 80°), by angle:
(1 2 0), 29.4 deg, I 100
(2 0 -1), 29.5 deg, I 33
(2 1 2), 34.2 deg, I 68
(1 0 5), 48.9 deg, I 8
(1 3 3), 49.1 deg, I 24
(3 2 -1), 49.1 deg, I 16
(3 0 4), 58.2 deg, I 19
(4 1 1), 58.3 deg, I 34
(-3 2 2), 58.4 deg, I 5
(0 2 6), 61.1 deg, I 8
(2 5 3), 79.6 deg, I 10
(5 2 -2), 79.7 deg, I 8

***

For LaPm3Pr4S8, a GGA-PBE-relaxed structure gives the calculated XRD peak list in this record (Cu Kα X-rays).
Lines closer than 0.1° are merged.

Structural model:
Cell: 8.1695 8.1695 20.0328 Å, 90.00 90.00 120.00°
Space group R-3m (No. 166, hexagonal axes)
Unique sites:
La: 0.0000 0.0000 0.0000
Pm: 0.0000 0.5000 0.0000
Pr: 0.0000 0.0000 0.5000
Pr: 0.0000 0.5000 0.5000
S: 0.0000 0.0000 0.2523
S: 0.0036 0.5018 0.2514

The 8 most intense peaks (2θ from 10° to 80°), by angle:
(2 0 2), 26.7 deg, I 73
(0 2 4), 30.9 deg, I 100
(2 2 0), 44.3 deg, I 73
(2 2 6), 52.5 deg, I 37
(4 0 4), 55.0 deg, I 25
(0 4 8), 64.5 deg, I 12
(2 0 14), 71.1 deg, I 15
(2 4 4), 73.3 deg, I 32

***

For LaPm3PrSc, a GGA-PBE-relaxed structure gives the calculated XRD peak list in this record (Cu Kα X-rays).
Lines closer than 0.1° are merged.

Structural model:
Cell: 5.784 12.009 11.597 Å, 90.00 90.00 90.00°
Space group Cmcm (No. 63)
Unique sites:
La: 0.000 0.027 0.250
Pm: 0.000 0.180 0.530
Pm: 0.000 0.326 0.250
Pr: 0.000 0.500 0.000
Sc: 0.000 0.350 0.750

The 12 most intense peaks (2θ from 10° to 80°), by angle:
(1 1 3), 28.8 deg, I 16
(0 0 4), 30.8 deg, I 30
(2 0 0), 30.9 deg, I 29
(1 3 2), 31.2 deg, I 100
(2 0 4), 44.2 deg, I 22
(0 6 0), 45.3 deg, I 7
(1 3 6), 55.1 deg, I 13
(3 3 2), 55.2 deg, I 20
(2 6 0), 55.8 deg, I 15
(2 4 5), 59.7 deg, I 6
(1 7 3), 61.2 deg, I 5
(2 6 4), 65.2 deg, I 9

***

For La2PmPr2Sm, a GGA-PBE-relaxed structure gives the calculated XRD peak list in this record (Cu Kα X-rays).
Lines closer than 0.1° are merged.

Structural model:
Cell: 7.191 5.862 10.134 Å, 90.00 90.00 90.00°
Space group Pmma (No. 51)
Unique sites:
La: 0.000 0.000 0.000
La: 0.250 0.500 0.171
Pm: 0.000 0.500 0.500
Pr: 0.250 0.000 0.332
Pr: 0.250 0.500 0.834
Sm: 0.250 0.000 0.663

The 12 most intense peaks (2θ from 10° to 80°), by angle:
(2 0 0), 24.8 deg, I 3
(0 2 0), 30.5 deg, I 100
(2 2 0), 39.7 deg, I 6
(2 2 2), 43.7 deg, I 18
(4 0 0), 50.8 deg, I 4
(0 3 3), 54.2 deg, I 26
(0 0 6), 54.3 deg, I 3
(4 2 0), 60.4 deg, I 16
(0 2 6), 63.6 deg, I 4
(2 4 2), 72.1 deg, I 5
(2 1 7), 72.2 deg, I 3
(4 3 3), 77.5 deg, I 7

***

For La2Pm2Pr2Sm, a GGA-PBE-relaxed structure gives the calculated XRD peak list in this record (Cu Kα X-rays).
Lines closer than 0.1° are merged.

Structural model:
Cell: 11.681 5.228 8.275 Å, 90.00 98.19 90.00°
Space group C2/m (No. 12)
Unique sites:
La: 0.142 0.000 0.427
Pm: 0.070 0.500 0.715
Pr: 0.215 0.500 0.141
Sm: 0.000 0.000 0.000

The 10 most intense peaks (2θ from 10° to 80°), by angle:
(1 1 2), 29.6 deg, I 100
(2 0 -3), 34.3 deg, I 17
(4 0 1), 34.3 deg, I 34
(4 2 1), 49.3 deg, I 36
(5 1 3), 58.5 deg, I 36
(7 1 0), 58.6 deg, I 7
(2 2 4), 61.4 deg, I 13
(0 4 0), 72.3 deg, I 4
(8 0 2), 72.4 deg, I 2
(3 1 6), 80.0 deg, I 9

***

For LaPm5PrSm2, a GGA-PBE-relaxed structure gives the calculated XRD peak list in this record (Cu Kα X-rays).
Lines closer than 0.1° are merged.

Structural model:
Cell: 8.198 8.198 9.498 Å, 90.00 90.00 90.00°
Space group P4/mbm (No. 127)
Unique sites:
La: 0.000 0.500 0.000
Pm: 0.000 0.000 0.500
Pm: 0.202 0.298 0.237
Pr: 0.000 0.000 0.000
Sm: 0.128 0.628 0.500

The 12 most intense peaks (2θ from 10° to 80°), by angle:
(2 1 1), 26.1 deg, I 18
(2 0 2), 28.8 deg, I 100
(2 2 0), 30.8 deg, I 94
(3 1 0), 34.6 deg, I 15
(3 1 1), 35.9 deg, I 16
(0 0 4), 37.9 deg, I 25
(3 2 0), 39.6 deg, I 12
(4 0 1), 45.2 deg, I 15
(2 2 4), 49.7 deg, I 34
(4 2 2), 53.6 deg, I 16
(4 1 4), 60.8 deg, I 14
(6 1 0), 69.8 deg, I 12

***

For LaPmPr2Sm, a GGA-PBE-relaxed structure gives the calculated XRD peak list in this record (Cu Kα X-rays).
Lines closer than 0.1° are merged.

Structural model:
Cell: 8.468 6.779 6.378 Å, 90.00 93.76 90.00°
Space group P2/c (No. 13)
Unique sites:
La: 0.000 0.000 0.000
Pm: 0.000 0.426 0.250
Pr: 0.307 0.311 0.726
Sm: 0.500 0.162 0.250

The 12 most intense peaks (2θ from 10° to 80°), by angle:
(2 1 -1), 27.9 deg, I 68
(0 0 2), 28.0 deg, I 47
(1 2 0), 28.4 deg, I 65
(2 1 1), 29.3 deg, I 100
(0 1 2), 31.0 deg, I 33
(1 2 -1), 31.4 deg, I 45
(1 2 1), 32.0 deg, I 30
(1 1 -2), 32.2 deg, I 28
(1 1 2), 33.5 deg, I 37
(2 2 0), 33.9 deg, I 30
(3 1 -2), 43.6 deg, I 32
(3 1 2), 46.4 deg, I 27

***

For La4PmPr2Sm, a GGA-PBE-relaxed structure gives the calculated XRD peak list in this record (Cu Kα X-rays).
Lines closer than 0.1° are merged.

Structural model:
Cell: 5.253 5.278 10.393 Å, 90.00 90.11 90.00°
Space group P2/m (No. 10)
Unique sites:
La: 0.000 0.000 0.250
La: 0.499 0.500 0.249
Pm: 0.500 0.000 0.500
Pr: 0.000 0.500 0.500
Pr: 0.500 0.000 0.000
Sm: 0.000 0.500 0.000

The 12 most intense peaks (2θ from 10° to 80°), by angle:
(1 1 2), 29.5 deg, I 100
(0 2 0), 34.0 deg, I 17
(2 0 0), 34.1 deg, I 17
(0 0 4), 34.5 deg, I 17
(2 2 0), 48.9 deg, I 12
(0 2 4), 49.2 deg, I 18
(2 0 4), 49.4 deg, I 6
(1 3 2), 58.1 deg, I 15
(3 1 2), 58.3 deg, I 15
(1 1 6), 58.8 deg, I 14
(2 2 4), 61.3 deg, I 13
(3 3 2), 79.4 deg, I 6

***

For LaPmPrSm, a GGA-PBE-relaxed structure gives the calculated XRD peak list in this record (Cu Kα X-rays).
Lines closer than 0.1° are merged.

Structural model:
Cell: 5.214 5.214 10.461 Å, 90.00 90.00 90.00°
Space group I-4m2 (No. 119)
Unique sites:
La: 0.000 0.000 0.000
Pm: 0.000 0.000 0.500
Pr: 0.000 0.500 0.250
Sm: 0.000 0.500 0.750

The 9 most intense peaks (2θ from 10° to 80°), by angle:
(1 1 2), 29.6 deg, I 100
(0 0 4), 34.3 deg, I 17
(2 0 0), 34.4 deg, I 34
(2 2 0), 49.4 deg, I 36
(1 1 6), 58.6 deg, I 15
(3 1 2), 58.7 deg, I 29
(2 2 4), 61.5 deg, I 13
(0 0 8), 72.3 deg, I 2
(4 0 0), 72.5 deg, I 4

***

For LaPm4Pr2Sm, a GGA-PBE-relaxed structure gives the calculated XRD peak list in this record (Cu Kα X-rays).
Lines closer than 0.1° are merged.

Structural model:
Cell: 6.357 3.687 12.218 Å, 90.00 100.33 90.00°
Space group P2/m (No. 10)
Unique sites:
La: 0.000 0.000 0.000
Pm: 0.249 0.500 0.250
Pm: 0.251 0.000 0.751
Pr: 0.000 0.500 0.500
Pr: 0.500 0.000 0.500
Sm: 0.500 0.500 0.000

The 10 most intense peaks (2θ from 10° to 80°), by angle:
(1 1 1), 29.7 deg, I 100
(1 1 -3), 34.4 deg, I 34
(2 0 2), 34.6 deg, I 17
(0 2 0), 49.4 deg, I 12
(1 1 5), 49.6 deg, I 24
(0 2 4), 58.8 deg, I 29
(4 0 0), 59.1 deg, I 14
(2 2 2), 61.8 deg, I 13
(2 2 -6), 72.5 deg, I 4
(4 0 4), 73.1 deg, I 2

***

For LaTb2Pm5Pr, a GGA-PBE-relaxed structure gives the calculated XRD peak list in this record (Cu Kα X-rays).
Lines closer than 0.1° are merged.

Structural model:
Cell: 8.145 8.145 9.560 Å, 90.00 90.00 90.00°
Space group P4/mbm (No. 127)
Unique sites:
La: 0.000 0.500 0.000
Tb: 0.128 0.372 0.500
Pm: 0.000 0.000 0.500
Pm: 0.200 0.700 0.240
Pr: 0.000 0.000 0.000

The 12 most intense peaks (2θ from 10° to 80°), by angle:
(2 1 1), 26.2 deg, I 20
(2 0 2), 28.8 deg, I 100
(2 1 2), 30.9 deg, I 65
(2 2 0), 31.1 deg, I 35
(3 1 0), 34.8 deg, I 17
(3 1 1), 36.1 deg, I 12
(0 0 4), 37.6 deg, I 27
(2 2 4), 49.6 deg, I 18
(4 1 2), 50.0 deg, I 17
(3 1 4), 52.2 deg, I 10
(4 2 2), 53.9 deg, I 15
(2 0 6), 62.6 deg, I 10

***

For La2PmPrTl2, a GGA-PBE-relaxed structure gives the calculated XRD peak list in this record (Cu Kα X-rays).
Lines closer than 0.1° are merged.

Structural model:
Cell: 5.263 10.513 6.961 Å, 90.00 90.00 90.00°
Space group Pmc2_1 (No. 26)
Unique sites:
La: 0.000 0.058 0.000
La: 0.500 0.178 0.224
Pm: 0.000 0.307 0.590
Pr: 0.500 0.457 0.864
Tl: 0.000 0.379 0.129
Tl: 0.500 0.141 0.709

The 12 most intense peaks (2θ from 10° to 80°), by angle:
(0 3 1), 28.5 deg, I 25
(1 3 0), 30.6 deg, I 100
(1 0 2), 30.8 deg, I 86
(1 1 2), 32.0 deg, I 79
(1 3 1), 33.3 deg, I 54
(2 0 0), 34.1 deg, I 73
(0 3 2), 36.4 deg, I 25
(1 3 2), 40.3 deg, I 20
(0 4 2), 43.1 deg, I 22
(2 3 2), 50.7 deg, I 21
(1 0 4), 55.6 deg, I 22
(3 3 0), 58.9 deg, I 27